[1]
For Sr2LiZr, a PBE-relaxed structure gives the theoretical X-ray diffraction stick pattern in this record (λ = 1.5418 Å (Cu Kα)).
Intensities are scaled so that the largest is 100.

Structural model:
abc: 8.034 9.403 3.678
angles: 90.00 90.00 90.00
Sites, in units of the cell vectors:
Sr 0.250 0.250 0.000
Sr 0.250 0.750 0.000
Sr 0.750 0.250 0.000
Sr 0.750 0.750 0.000
Li 0.000 0.000 0.500
Li 0.500 0.500 0.500
Zr 0.000 0.500 0.500
Zr 0.500 0.000 0.500

Largest 10 diffraction maxima, low angle first, 2θ = 10–80°:
Position (°2θ)  intensity
14.50  55.7
28.33  22.4
29.24  100.0
30.87  86.7
33.02  72.3
38.29  31.8
45.14  14.9
51.44  40.2
55.69  31.6
58.60  27.0



[2]
For PrCd2BiO6, a PBE-relaxed structure gives the theoretical X-ray diffraction stick pattern in this record (λ = 1.5418 Å (Cu Kα)).
Intensities are scaled so that the largest is 100.

Structural model:
abc: 6.166 6.166 6.166
angles: 56.58 56.58 56.58
Sites, in units of the cell vectors:
Pr 0.000 0.000 0.000
Cd 0.275 0.275 0.275
Cd 0.782 0.782 0.782
Bi 0.490 0.490 0.490
O 0.117 0.683 0.397
O 0.222 0.596 0.858
O 0.397 0.117 0.683
O 0.596 0.858 0.222
O 0.683 0.397 0.117
O 0.858 0.222 0.596

Largest 10 diffraction maxima, low angle first, 2θ = 10–80°:
Position (°2θ)  intensity
20.97  28.2
29.04  100.0
30.59  94.5
42.69  40.5
46.98  32.3
53.43  39.6
54.38  27.4
62.75  13.5
63.69  12.3
71.47  21.5



[3]
For LaEr2Tm9, a PBE-relaxed structure gives the theoretical X-ray diffraction stick pattern in this record (λ = 1.5418 Å (Cu Kα)).
Intensities are scaled so that the largest is 100.

Structural model:
abc: 11.102 11.102 3.493
angles: 90.00 90.00 120.00
Sites, in units of the cell vectors:
La 0.000 0.000 0.000
Er 0.333 0.667 0.000
Er 0.667 0.333 0.000
Tm 0.000 0.500 0.000
Tm 0.180 0.360 0.500
Tm 0.180 0.820 0.500
Tm 0.360 0.180 0.500
Tm 0.500 0.000 0.000
Tm 0.500 0.500 0.000
Tm 0.640 0.820 0.500
Tm 0.820 0.180 0.500
Tm 0.820 0.640 0.500

Largest 10 diffraction maxima, low angle first, 2θ = 10–80°:
Position (°2θ)  intensity
30.23  24.9
31.66  54.6
32.25  100.0
35.65  25.7
38.11  15.3
45.83  17.7
50.76  10.4
57.14  17.8
57.52  16.4
62.87  29.8



[4]
For TlPdPb4, a PBE-relaxed structure gives the theoretical X-ray diffraction stick pattern in this record (λ = 1.5418 Å (Cu Kα)).
Intensities are scaled so that the largest is 100.

Structural model:
abc: 8.773 8.773 8.773
angles: 133.07 133.07 68.54
Sites, in units of the cell vectors:
Tl 0.000 0.000 0.000
Tl 0.500 0.500 0.000
Pd 0.250 0.250 0.000
Pd 0.750 0.750 0.000
Pb 0.013 0.513 0.830
Pb 0.183 0.013 0.500
Pb 0.317 0.817 0.830
Pb 0.487 0.317 0.500
Pb 0.513 0.683 0.500
Pb 0.683 0.183 0.170
Pb 0.817 0.987 0.500
Pb 0.987 0.487 0.170

Largest 10 diffraction maxima, low angle first, 2θ = 10–80°:
Position (°2θ)  intensity
29.24  53.5
30.59  42.2
34.17  100.0
35.70  47.2
36.37  14.7
37.21  17.6
40.85  45.8
53.04  29.5
57.65  21.2
61.89  23.2